For NiPbS2, a DFT-relaxed cell (PBE, Alexandria) gives the theoretical XRD peak list in this record (Cu Kα (λ = 1.5418 Å)).
Kinematic intensities with the Lorentz-polarization factor, no thermal factor.

Top 10 peaks for 2θ from 15° to 90°, most intense first:
d = 2.474 Å, 36.31°, rel. 1000; d = 3.003 Å, 29.75°, rel. 893; d = 2.918 Å, 30.63°, rel. 588; d = 2.638 Å, 33.98°, rel. 573; d = 3.565 Å, 24.98°, rel. 572; d = 1.751 Å, 52.23°, rel. 459; d = 2.153 Å, 41.97°, rel. 442; d = 1.572 Å, 58.74°, rel. 342; d = 2.006 Å, 45.21°, rel. 197; d = 1.637 Å, 56.19°, rel. 192

Cell and atoms:
abc: 7.410 7.410 7.410
angles: 27.34 27.34 27.34
Fractional coordinates of all 4 atoms:
1 Ni 0.000 0.000 0.000
2 Pb 0.167 0.167 0.167
3 S 0.387 0.387 0.387
4 S 0.611 0.611 0.611